Diffraction record for Be2PH5O7. The powder X-ray diffraction pattern is calculated, not measured: it uses a structure optimized by DFT (GGA-PBE) and a wavelength of 1.5418 Å.

Structure:
```
data_Be2PH5O7
_space_group_name_H-M_alt 'P 1 21/c 1'
_space_group_IT_number 14
_space_group_name_Hall '-P 2ybc'
_cell_length_a 6.841
_cell_length_b 11.900
_cell_length_c 8.591
_cell_angle_alpha 90.00
_cell_angle_beta 117.38
_cell_angle_gamma 90.00
loop_
_atom_site_label
_atom_site_fract_x
_atom_site_fract_y
_atom_site_fract_z
_atom_site_occupancy
Be1 0.068 0.182 0.019 1
Be2 0.380 0.072 0.615 1
P1 0.067 0.166 0.279 1
H1 0.170 0.014 0.943 1
H2 0.252 0.117 0.873 1
H3 0.282 0.557 0.859 1
H4 0.284 0.680 0.780 1
H5 0.473 0.534 0.336 1
O1 0.061 0.736 0.146 1
O2 0.081 0.610 0.403 1
O3 0.205 0.242 0.217 1
O4 0.207 0.077 0.416 1
O5 0.219 0.096 0.970 1
O6 0.347 0.001 0.740 1
O7 0.377 0.617 0.851 1
```

Largest 12 diffraction maxima, in order of rising 2θ, 15 to 90 degrees two-theta:
| two_theta | Rel. int. |
| --- | --- |
| 15.73 | 24.0 |
| 16.38 | 70.1 |
| 18.92 | 34.4 |
| 20.38 | 97.7 |
| 20.90 | 100.0 |
| 21.05 | 25.3 |
| 26.44 | 37.7 |
| 27.11 | 74.2 |
| 30.19 | 26.3 |
| 36.10 | 27.9 |
| 36.36 | 25.8 |
| 46.02 | 23.1 |